Structure and calculated XRD peak list of Pm12Dy3Sc (a cell relaxed with PBE; Cu Kα, 1.54184 Å).

Peak list (8 most intense, 5° ≤ 2θ ≤ 70°, by angle)
| two_theta | d_spacing | I_rel | hkl |
| --- | --- | --- | --- |
| 17.92 | 4.950 | 1 | 1 0 1 |
| 28.01 | 3.185 | 1 | 1 1 3 |
| 30.36 | 2.944 | 100 | 1 1 4 |
| 35.20 | 2.550 | 51 | 2 0 0 |
| 50.63 | 1.803 | 36 | 2 2 0 |
| 60.15 | 1.538 | 29 | 3 1 4 |
| 60.27 | 1.536 | 14 | 1 1 12 |
| 63.17 | 1.472 | 12 | 2 2 8 |

Atomic structure:
Lattice parameters (Å, degrees): 5.1031 5.1031 20.3636 90.00 90.00 90.00
Space group P4/mmm (No. 123)
Asymmetric unit:
Pm: 0.0000 0.0000 0.0000 x1
Pm: 0.0000 0.0000 0.2475 x2
Pm: 0.0000 0.0000 0.5000 x1
Pm: 0.0000 0.5000 0.1214 x4
Pm: 0.0000 0.5000 0.3738 x4
Dy: 0.5000 0.5000 0.2476 x2
Dy: 0.5000 0.5000 0.5000 x1
Sc: 0.5000 0.5000 0.0000 x1